(1)
# Er3NpAg3S8
Computed XRD peak list, Cu Ka. Input: DFT lattice parameters and positions (PBE).

Cell and atoms:
Cell lengths 7.663, 7.663, 7.687 Å; angles 117.32, 117.32, 62.76 degrees
Positions (direct):
Er 0.000 0.000 0.000
Er 0.000 0.500 0.500
Er 0.500 0.000 0.500
Np 0.500 0.500 0.000
Ag 0.000 0.500 0.000
Ag 0.500 0.000 0.000
Ag 0.500 0.500 0.500
S 0.247 0.247 0.254
S 0.247 0.744 0.757
S 0.256 0.256 0.746
S 0.256 0.753 0.243
S 0.744 0.247 0.757
S 0.744 0.744 0.254
S 0.753 0.256 0.243
S 0.753 0.753 0.746

Top 6 peaks for 2θ from 10° to 90°, low angle first:
- 6.132 Å, intensity 22
- 3.242 Å, intensity 21
- 3.233 Å, intensity 36
- 2.763 Å, intensity 100
- 1.996 Å, intensity 38
- 1.913 Å, intensity 22

---

(2)
# ErAgPO4
Computed XRD peak list, Cu Ka. Input: DFT lattice parameters and positions (PBE).

Cell and atoms:
Cell lengths 6.380, 6.380, 6.380 Å; angles 126.87, 111.31, 92.10 degrees
Positions (direct):
Er 0.000 0.000 0.000
Er 0.500 0.000 0.500
Ag 0.500 0.000 0.000
Ag 0.500 0.500 0.500
P 0.106 0.356 0.750
P 0.894 0.644 0.250
O 0.169 0.741 0.428
O 0.187 0.259 0.928
O 0.212 0.238 0.526
O 0.212 0.687 0.974
O 0.788 0.313 0.026
O 0.788 0.762 0.474
O 0.813 0.741 0.072
O 0.831 0.259 0.572

Top 6 peaks for 2θ from 10° to 90°, low angle first:
- 4.797 Å, intensity 93
- 2.879 Å, intensity 100
- 2.793 Å, intensity 71
- 2.622 Å, intensity 41
- 2.236 Å, intensity 61
- 1.573 Å, intensity 51

---

(3)
# ErPaAg2O8
Computed XRD peak list, Cu Ka. Input: DFT lattice parameters and positions (PBE).

Cell and atoms:
Cell lengths 6.194, 6.194, 6.194 Å; angles 107.99, 107.99, 112.47 degrees
Positions (direct):
Er 0.000 0.000 0.000
Pa 0.750 0.250 0.500
Ag 0.250 0.750 0.500
Ag 0.500 0.500 0.000
O 0.016 0.335 0.319
O 0.016 0.697 0.681
O 0.083 0.269 0.814
O 0.303 0.984 0.319
O 0.455 0.269 0.186
O 0.665 0.984 0.681
O 0.731 0.545 0.814
O 0.731 0.917 0.186

Top 6 peaks for 2θ from 10° to 90°, low angle first:
- 5.003 Å, intensity 21
- 3.641 Å, intensity 100
- 2.862 Å, intensity 83
- 2.575 Å, intensity 27
- 1.914 Å, intensity 69
- 1.536 Å, intensity 20